Calculated powder X-ray diffraction pattern
Compound: Mg2InGaPd2
Radiation: a wavelength of 1.5418 Å
Structure: a PBE-relaxed structure
Kinematic intensities with the Lorentz-polarization factor, no thermal factor.

Crystal structure
```
Mg2InGaPd2
1.0
4.241 0.000 0.000
0.000 8.488 0.000
0.000 0.000 6.062
Mg In Ga Pd
4 2 2 4
Direct
0.000 0.070 0.000
0.000 0.930 0.500
0.500 0.211 0.301
0.500 0.789 0.801
0.500 0.408 0.900
0.500 0.592 0.400
0.000 0.276 0.600
0.000 0.724 0.100
0.000 0.417 0.218
0.000 0.583 0.718
0.500 0.100 0.713
0.500 0.900 0.213
```

Peak list (6 most intense, 2θ = 5–70°, in order of rising 2θ)
2θ 10.42, I 45; 2θ 25.62, I 32; 2θ 33.32, I 34; 2θ 38.00, I 91; 2θ 41.14, I 100; 2θ 42.63, I 48